Starting from DFT lattice parameters and positions (GGA-PBE), the XRD peak list of Y3Al8Zn3 was computed for copper Kα.
Intensities are scaled so that the largest is 100.

Largest 10 diffraction maxima, sorted by position, 2θ = 10–90°:
d [Å]  two_theta  intensity
3.153  28.30  14
2.973  30.06  12
2.640  33.96  14
2.604  34.44  20
2.560  35.06  100
2.515  35.70  12
2.429  37.01  19
2.142  42.20  31
2.066  43.82  16
1.303  72.56  13

Crystal structure
```
data_Y3Al8Zn3
_chemical_formula_sum 'Y6 Al16 Zn6'
_cell_length_a 4.281
_cell_length_b 10.060
_cell_length_c 12.396
_cell_angle_alpha 90.00
_cell_angle_beta 90.00
_cell_angle_gamma 90.00
_symmetry_space_group_name_H-M 'I m m m'
_symmetry_Int_Tables_number 71
_symmetry_space_group_name_Hall '-I 2 2'
loop_
_atom_site_label
_atom_site_type_symbol
_atom_site_fract_x
_atom_site_fract_y
_atom_site_fract_z
Y1 Y 0.000 0.000 0.000
Y2 Y 0.000 0.000 0.314
Al1 Al 0.000 0.280 0.133
Al2 Al 0.000 0.371 0.339
Zn1 Zn 0.000 0.208 0.500
Zn2 Zn 0.000 0.500 0.000
```